This entry pairs a crystal structure of Cu2Ag3 with its theoretical powder X-ray diffraction pattern. Radiation: copper Kα. Structure: a DFT-relaxed cell (GGA-PBE, OQMD).
Intensities are scaled so that the largest is 1000.

Most intense lines, 2θ = 15–90°, in order of rising 2θ:
39.42 deg, intensity 1000
45.65 deg, intensity 339
46.21 deg, intensity 141
66.54 deg, intensity 101
66.98 deg, intensity 173
80.18 deg, intensity 227
81.00 deg, intensity 85
84.83 deg, intensity 90

Structure:
Lattice parameters (Å, degrees): 3.975 10.021 10.021 22.88 90.00 90.00
Fractional coordinates of all 10 atoms:
Cu1 0.000 0.000 0.000
Cu2 0.000 0.201 0.201
Cu3 0.000 0.414 0.414
Cu4 0.500 0.500 0.500
Ag1 0.000 0.596 0.596
Ag2 0.000 0.807 0.807
Ag3 0.500 0.096 0.096
Ag4 0.500 0.307 0.307
Ag5 0.500 0.701 0.701
Ag6 0.500 0.911 0.911



This entry pairs a crystal structure of Ba2MgGe2Ir with its theoretical powder X-ray diffraction pattern. Radiation: copper Kα. Structure: a DFT-relaxed cell (GGA-PBE, OQMD).
Intensities are scaled so that the largest is 1000.

Most intense lines, 2θ = 15–90°, in order of rising 2θ:
19.62 deg, intensity 255
22.80 deg, intensity 476
30.26 deg, intensity 535
30.48 deg, intensity 1000
36.52 deg, intensity 778
39.86 deg, intensity 639
50.99 deg, intensity 470
51.59 deg, intensity 248

Structure:
Lattice parameters (Å, degrees): 4.524 4.524 7.702 90.00 90.00 90.00
Fractional coordinates of all 6 atoms:
Ba1 0.000 0.500 0.166
Ba2 0.500 0.000 0.834
Mg1 0.500 0.500 0.500
Ge1 0.000 0.500 0.676
Ge2 0.500 0.000 0.324
Ir1 0.000 0.000 0.500



This entry pairs a crystal structure of Er3Tm3Te2Ir with its theoretical powder X-ray diffraction pattern. Radiation: copper Kα. Structure: a DFT-relaxed cell (GGA-PBE, OQMD).
Intensities are scaled so that the largest is 1000.

Most intense lines, 2θ = 15–90°, in order of rising 2θ:
31.35 deg, intensity 1000
33.17 deg, intensity 592
33.83 deg, intensity 875
37.76 deg, intensity 460
40.46 deg, intensity 513
45.95 deg, intensity 248
57.84 deg, intensity 244
61.21 deg, intensity 382

Structure:
Lattice parameters (Å, degrees): 8.252 8.252 3.950 90.00 90.00 120.00
Fractional coordinates of all 9 atoms:
Er1 0.000 0.393 0.000
Er2 0.393 0.000 0.000
Er3 0.607 0.607 0.000
Tm1 0.000 0.759 0.500
Tm2 0.241 0.241 0.500
Tm3 0.759 0.000 0.500
Te1 0.333 0.667 0.500
Te2 0.667 0.333 0.500
Ir1 0.000 0.000 0.000



This entry pairs a crystal structure of RbTbAu3Se4 with its theoretical powder X-ray diffraction pattern. Radiation: copper Kα. Structure: a DFT-relaxed cell (GGA-PBE, OQMD).
Intensities are scaled so that the largest is 1000.

Most intense lines, 2θ = 15–90°, in order of rising 2θ:
24.78 deg, intensity 500
27.98 deg, intensity 567
33.03 deg, intensity 1000
34.87 deg, intensity 350
35.55 deg, intensity 635
38.59 deg, intensity 404
41.68 deg, intensity 428
42.09 deg, intensity 584

Structure:
Lattice parameters (Å, degrees): 6.018 7.645 10.915 90.00 105.09 90.00
Fractional coordinates of all 18 atoms:
Rb1 0.234 0.250 0.392
Rb2 0.766 0.750 0.608
Tb1 0.109 0.250 0.810
Tb2 0.891 0.750 0.190
Au1 0.304 0.562 0.043
Au2 0.304 0.938 0.043
Au3 0.440 0.750 0.299
Au4 0.560 0.250 0.701
Au5 0.696 0.062 0.957
Au6 0.696 0.438 0.957
Se1 0.055 0.250 0.065
Se2 0.167 0.750 0.435
Se3 0.367 0.530 0.767
Se4 0.367 0.970 0.767
Se5 0.633 0.030 0.233
Se6 0.633 0.470 0.233
Se7 0.833 0.250 0.565
Se8 0.945 0.750 0.935